Cs2ThAs2O8: computed powder diffractogram (CuKα), based on a PBE-relaxed structure.
Lines closer than 0.1° are merged.

The 10 most intense peaks (2θ = 10–90°), in order of rising 2θ:
| 2θ (°) | intensity |
| --- | --- |
| 12.81 | 36 |
| 18.50 | 34 |
| 23.95 | 53 |
| 25.78 | 26 |
| 26.52 | 71 |
| 27.25 | 100 |
| 33.24 | 33 |
| 39.27 | 34 |
| 43.26 | 27 |
| 48.38 | 30 |

Structure:
Cell: 10.787 10.787 10.787 Å, 139.71 139.71 58.29°
Fractional coordinates of all 26 atoms:
1 Cs 0.000 0.000 0.000
2 Cs 0.000 0.000 0.500
3 Cs 0.000 0.500 0.000
4 Cs 0.500 0.000 0.500
5 Th 0.375 0.625 0.750
6 Th 0.625 0.375 0.250
7 As 0.200 0.450 0.750
8 As 0.450 0.200 0.250
9 As 0.550 0.800 0.750
10 As 0.800 0.550 0.250
11 O 0.040 0.605 0.435
12 O 0.259 0.330 0.572
13 O 0.259 0.687 0.928
14 O 0.313 0.741 0.572
15 O 0.330 0.259 0.072
16 O 0.331 0.395 0.935
17 O 0.395 0.331 0.435
18 O 0.395 0.960 0.065
19 O 0.605 0.040 0.935
20 O 0.605 0.669 0.565
21 O 0.669 0.605 0.065
22 O 0.670 0.741 0.928
23 O 0.687 0.259 0.428
24 O 0.741 0.313 0.072
25 O 0.741 0.670 0.428
26 O 0.960 0.395 0.565